Diffraction record for Pa4O7F3. The powder diffractogram is calculated, not measured: it uses DFT lattice parameters and positions (GGA-PBE) and a wavelength of 1.5418 Å.

Principal peaks in the range 2θ from 10° to 80°, sorted by position:
| hkl | two_theta | I (rel.) |
| --- | --- | --- |
| 0 0 1 | 10.52 | 71.9 |
| 0 0 2 | 21.12 | 100.0 |
| 1 -1 0 | 23.50 | 54.0 |
| 1 -1 1 | 25.87 | 40.2 |
| 1 1 0 | 27.62 | 31.9 |
| 0 2 0 | 29.15 | 63.9 |
| 1 1 -2 | 29.27 | 60.7 |
| -1 1 2 | 31.71 | 36.7 |
| 0 0 3 | 31.92 | 24.5 |
| 1 1 1 | 32.60 | 25.1 |

```
data_Pa4O7F3
_chemical_formula_sum 'Pa4 O7 F3'
_cell_length_a 4.338
_cell_length_b 6.438
_cell_length_c 8.896
_cell_angle_alpha 105.08
_cell_angle_beta 99.43
_cell_angle_gamma 96.78
_symmetry_space_group_name_H-M 'P -1'
_symmetry_Int_Tables_number 2
loop_
_symmetry_equiv_pos_as_xyz
'x,y,z'
'-x,-y,-z'
loop_
_atom_site_label
_atom_site_type_symbol
_atom_site_fract_x
_atom_site_fract_y
_atom_site_fract_z
Pa1 Pa 0.055 0.004 0.265
Pa2 Pa 0.317 0.498 0.669
O1 O 0.000 0.000 0.500
O2 O 0.178 0.388 0.388
O3 O 0.179 0.332 0.829
O4 O 0.413 0.855 0.761
F1 F 0.000 0.000 0.000
F2 F 0.400 0.785 0.356
```

Diffraction record for LaPmAl2Ge. The powder diffractogram is calculated, not measured: it uses DFT lattice parameters and positions (GGA-PBE) and a wavelength of 1.5418 Å.

Principal peaks in the range 2θ from 10° to 80°, sorted by position:
| hkl | two_theta | I (rel.) |
| --- | --- | --- |
| 0 1 1 | 20.68 | 26.1 |
| 1 0 1 | 21.29 | 13.9 |
| 0 0 4 | 28.24 | 14.6 |
| 0 1 3 | 28.83 | 21.6 |
| 1 0 3 | 29.28 | 22.8 |
| 1 1 2 | 31.52 | 100.0 |
| 0 2 0 | 39.46 | 19.1 |
| 2 0 0 | 40.81 | 28.5 |
| 1 0 5 | 41.13 | 18.3 |
| 0 0 8 | 58.33 | 16.5 |

```
data_LaPmAl2Ge
_chemical_formula_sum 'La2 Pm2 Al4 Ge2'
_cell_length_a 4.421
_cell_length_b 4.567
_cell_length_c 12.641
_cell_angle_alpha 90.00
_cell_angle_beta 90.00
_cell_angle_gamma 90.00
_symmetry_space_group_name_H-M 'I m m 2'
_symmetry_Int_Tables_number 44
loop_
_symmetry_equiv_pos_as_xyz
'x,y,z'
'-x,-y,z'
'-x,y,z'
'x,-y,z'
'x+1/2,y+1/2,z+1/2'
'-x+1/2,-y+1/2,z+1/2'
'-x+1/2,y+1/2,z+1/2'
'x+1/2,-y+1/2,z+1/2'
loop_
_atom_site_label
_atom_site_type_symbol
_atom_site_fract_x
_atom_site_fract_y
_atom_site_fract_z
La1 La 0.000 0.000 0.000
Pm1 Pm 0.000 0.500 0.758
Al1 Al 0.000 0.000 0.605
Al2 Al 0.000 0.500 0.232
Ge1 Ge 0.000 0.000 0.407
```

Diffraction record for K2MgInF6. The powder diffractogram is calculated, not measured: it uses DFT lattice parameters and positions (GGA-PBE) and a wavelength of 1.5418 Å.

Principal peaks in the range 2θ from 10° to 80°, sorted by position:
| hkl | two_theta | I (rel.) |
| --- | --- | --- |
| 1 1 0 | 17.80 | 38.4 |
| 1 0 1 | 20.59 | 35.3 |
| 2 0 0 | 29.28 | 100.0 |
| 0 3 1 | 34.47 | 33.6 |
| 2 0 2 | 41.88 | 59.4 |
| 2 3 1 | 45.84 | 19.7 |
| 3 0 1 | 47.10 | 15.0 |
| 3 2 1 | 51.91 | 37.3 |
| 4 0 0 | 60.72 | 33.6 |
| 4 0 2 | 68.81 | 17.0 |

```
data_K2MgInF6
_chemical_formula_sum 'K4 Mg2 In2 F12'
_cell_length_a 6.098
_cell_length_b 8.629
_cell_length_c 6.104
_cell_angle_alpha 90.00
_cell_angle_beta 90.00
_cell_angle_gamma 90.00
_symmetry_space_group_name_H-M 'P m m n'
_symmetry_Int_Tables_number 59
loop_
_symmetry_equiv_pos_as_xyz
'x,y,z'
'-x,-y,-z'
'-x+1/2,-y+1/2,z'
'x+1/2,y+1/2,-z'
'x+1/2,-y,-z'
'-x+1/2,y,z'
'-x,y+1/2,-z'
'x,-y+1/2,z'
loop_
_atom_site_label
_atom_site_type_symbol
_atom_site_fract_x
_atom_site_fract_y
_atom_site_fract_z
K1 K 0.250 0.000 0.249
Mg1 Mg 0.250 0.250 0.751
In1 In 0.250 0.750 0.749
F1 F 0.016 0.250 0.517
F2 F 0.016 0.250 0.985
F3 F 0.250 0.016 0.752
```

Diffraction record for Ba5CdSi2. The powder diffractogram is calculated, not measured: it uses DFT lattice parameters and positions (GGA-PBE) and a wavelength of 1.5418 Å.

Principal peaks in the range 2θ from 10° to 80°, sorted by position:
| hkl | two_theta | I (rel.) |
| --- | --- | --- |
| 2 1 1 | 23.62 | 49.4 |
| 1 1 4 | 24.84 | 45.1 |
| 2 1 3 | 27.63 | 83.0 |
| 2 0 4 | 28.90 | 100.0 |
| 2 2 0 | 29.31 | 28.4 |
| 3 1 0 | 32.86 | 55.2 |
| 2 1 7 | 42.73 | 21.8 |
| 4 1 3 | 46.05 | 20.6 |
| 3 3 4 | 49.35 | 38.2 |
| 3 1 8 | 53.29 | 24.6 |

```
data_Ba5CdSi2
_chemical_formula_sum 'Ba20 Cd4 Si8'
_cell_length_a 8.620
_cell_length_b 8.620
_cell_length_c 17.722
_cell_angle_alpha 90.00
_cell_angle_beta 90.00
_cell_angle_gamma 90.00
_symmetry_space_group_name_H-M 'I 4/m c m'
_symmetry_Int_Tables_number 140
_symmetry_space_group_name_Hall '-I 4 2c'
loop_
_atom_site_label
_atom_site_type_symbol
_atom_site_fract_x
_atom_site_fract_y
_atom_site_fract_z
Ba1 Ba 0.000 0.000 0.000
Ba2 Ba 0.175 0.325 0.134
Cd1 Cd 0.000 0.000 0.250
Si1 Si 0.101 0.399 0.500
```

Diffraction record for Na3Er3GeSe8. The powder diffractogram is calculated, not measured: it uses DFT lattice parameters and positions (GGA-PBE) and a wavelength of 1.5418 Å.

Principal peaks in the range 2θ from 10° to 80°, sorted by position:
| hkl | two_theta | I (rel.) |
| --- | --- | --- |
| 0 0 3 | 12.46 | 67.8 |
| 0 2 1 | 25.83 | 20.2 |
| 0 2 4 | 30.59 | 100.0 |
| 0 2 7 | 39.24 | 19.6 |
| 2 0 8 | 42.67 | 35.8 |
| 2 2 0 | 44.92 | 34.5 |
| 2 2 3 | 46.80 | 15.1 |
| 4 0 4 | 55.32 | 18.0 |
| 2 2 12 | 70.65 | 12.9 |
| 2 4 4 | 73.91 | 15.0 |

```
data_Na3Er3GeSe8
_chemical_formula_sum 'Na9 Er9 Ge3 Se24'
_cell_length_a 8.0721
_cell_length_b 8.0721
_cell_length_c 21.3141
_cell_angle_alpha 90.00
_cell_angle_beta 90.00
_cell_angle_gamma 120.00
_symmetry_space_group_name_H-M 'R -3 m'
_symmetry_Int_Tables_number 166
_symmetry_space_group_name_Hall '-R 3 2"'
loop_
_atom_site_label
_atom_site_type_symbol
_atom_site_fract_x
_atom_site_fract_y
_atom_site_fract_z
Na1 Na 0.0000 0.5000 0.0000
Er1 Er 0.0000 0.5000 0.5000
Ge1 Ge 0.0000 0.0000 0.5000
Se1 Se 0.0000 0.0000 0.2424
Se2 Se 0.0223 0.5112 0.2385
```